(1)
For Pa2Be2AlCo5, a structure optimized by DFT (GGA-PBE) gives the theoretical powder XRD pattern in this record (CuKα).
Neutral-atom scattering factors, no anomalous dispersion.

Crystal structure
Lattice parameters (Å, degrees): 8.913 8.913 3.311 90.00 90.00 90.00
Space group P4/mbm (No. 127)
Unique sites:
Pa  0.181  0.319  0.000
Be  0.114  0.614  0.000
Al  0.000  0.000  0.000
Co  0.000  0.500  0.500
Co  0.071  0.781  0.500

Principal peaks in the range 15 to 90 degrees two-theta, by angle:
Position (°2θ), I (rel.)
19.92, 38.6
22.30, 55.9
33.72, 32.3
35.24, 100.0
39.48, 22.5
41.79, 68.9
42.10, 47.4
43.06, 24.2
60.57, 19.5
71.82, 27.6

---

(2)
For Ga6Fe, a structure optimized by DFT (GGA-PBE) gives the theoretical powder XRD pattern in this record (CuKα).
Neutral-atom scattering factors, no anomalous dispersion.

Crystal structure
Lattice parameters (Å, degrees): 7.740 6.503 9.000 90.00 90.00 90.00
Space group Cmcm (No. 63)
Unique sites:
Ga  0.000  0.126  0.103
Ga  0.173  0.500  0.000
Ga  0.182  0.228  0.750
Fe  0.000  0.444  0.250

Principal peaks in the range 15 to 90 degrees two-theta, by angle:
Position (°2θ), I (rel.)
34.02, 85.6
34.92, 50.7
37.50, 47.1
38.86, 100.0
40.93, 40.1
41.45, 82.1
42.72, 94.2
43.35, 38.0
44.17, 57.2
44.56, 38.1

---

(3)
For LaAlCl2, a structure optimized by DFT (GGA-PBE) gives the theoretical powder XRD pattern in this record (CuKα).
Neutral-atom scattering factors, no anomalous dispersion.

Crystal structure
Lattice parameters (Å, degrees): 3.756 4.537 5.720 90.00 90.00 90.00
Space group Pmmm (No. 47)
Unique sites:
La  0.000  0.000  0.000
Al  0.500  0.000  0.500
Cl  0.000  0.500  0.500
Cl  0.500  0.500  0.000

Principal peaks in the range 15 to 90 degrees two-theta, by angle:
Position (°2θ), I (rel.)
15.49, 38.0
19.57, 14.8
23.69, 14.4
25.05, 25.1
30.91, 14.8
31.28, 33.6
34.75, 100.0
39.73, 16.9
51.41, 15.5
57.93, 21.4